No. 1
MnPbS2O8: calculated X-ray diffraction stick pattern (Cu Kα, 1.54184 Å), based on a cell relaxed with GGA+U.
Kinematic intensities with the Lorentz-polarization factor, no thermal factor.

Most intense lines, 10 to 90 degrees two-theta, by intensity:
(2 0 0), 25.98 deg, d 3.429, rel. 100.0
(1 0 1), 14.38 deg, d 6.159, rel. 78.8
(0 0 4), 25.47 deg, d 3.498, rel. 76.4
(1 1 2), 22.30 deg, d 3.986, rel. 65.7
(3 1 2), 43.73 deg, d 2.070, rel. 63.3
(2 0 4), 36.70 deg, d 2.449, rel. 63.3
(2 1 1), 29.82 deg, d 2.996, rel. 49.3
(2 1 3), 35.01 deg, d 2.563, rel. 42.7
(1 0 3), 23.06 deg, d 3.856, rel. 33.7
(2 2 4), 45.52 deg, d 1.993, rel. 30.8

Cell and atoms:
```
data_MnPbS2O8
_cell_length_a 6.859
_cell_length_b 6.859
_cell_length_c 13.990
_cell_angle_alpha 90.00
_cell_angle_beta 90.00
_cell_angle_gamma 90.00
_space_group_name_H-M_alt 'P 41 21 2'
_space_group_IT_number 92
_space_group_name_Hall 'P 4abw 2nw'
loop_
_atom_site_label
_atom_site_type_symbol
_atom_site_fract_x
_atom_site_fract_y
_atom_site_fract_z
Mn1 Mn 0.166 0.166 0.000
Pb1 Pb 0.250 0.250 0.500
S1 S 0.174 0.247 0.757
O1 O 0.009 0.640 0.246
O2 O 0.111 0.840 0.013
O3 O 0.115 0.207 0.326
O4 O 0.124 0.171 0.155
```


No. 2
MnPbS2O8: calculated X-ray diffraction stick pattern (Cu Kα, 1.54184 Å), based on a cell relaxed with GGA+U.
Kinematic intensities with the Lorentz-polarization factor, no thermal factor.

Most intense lines, 10 to 90 degrees two-theta, by intensity:
(2 0 0), 25.98 deg, d 3.429, rel. 100.0
(1 0 1), 14.38 deg, d 6.158, rel. 78.8
(0 0 4), 25.47 deg, d 3.497, rel. 76.3
(1 1 2), 22.31 deg, d 3.986, rel. 65.7
(2 0 4), 36.70 deg, d 2.449, rel. 63.3
(2 1 1), 29.82 deg, d 2.996, rel. 49.3
(2 1 3), 35.02 deg, d 2.563, rel. 42.7
(3 1 2), 43.69 deg, d 2.072, rel. 40.4
(1 0 3), 23.06 deg, d 3.856, rel. 33.7
(2 2 4), 45.52 deg, d 1.993, rel. 30.8

Cell and atoms:
```
data_MnPbS2O8
_cell_length_a 6.859
_cell_length_b 6.859
_cell_length_c 13.989
_cell_angle_alpha 90.00
_cell_angle_beta 90.00
_cell_angle_gamma 90.00
_space_group_name_H-M_alt 'P 43 21 2'
_space_group_IT_number 96
_space_group_name_Hall 'P 4nw 2abw'
loop_
_atom_site_label
_atom_site_type_symbol
_atom_site_fract_x
_atom_site_fract_y
_atom_site_fract_z
Mn1 Mn 0.166 0.166 0.000
Pb1 Pb 0.250 0.250 0.500
S1 S 0.174 0.247 0.243
O1 O 0.009 0.640 0.754
O2 O 0.111 0.840 0.987
O3 O 0.115 0.207 0.674
O4 O 0.124 0.171 0.845
```